# Nd6Te5Pb
Theoretical X-ray powder pattern, Cu Kα (weighted mean of Kα1 and Kα2). Input: a DFT-relaxed cell (GGA-PBE, Alexandria).
Lines closer than 0.1° are merged.

Principal peaks in the range 10° ≤ 2θ ≤ 90°, by intensity:
2θ (°)  I (rel.)
27.92  100
39.81  39
39.99  38
49.48  21
65.17  18
65.43  18
57.71  13
72.57  11
49.17  7
72.15  7
72.43  4
72.67  4

Crystal structure
```
data_Nd6Te5Pb
_symmetry_space_group_name_H-M 'C 1 2/m 1'
_symmetry_Int_Tables_number 12
_cell_length_a 7.8152
_cell_length_b 13.5162
_cell_length_c 7.8520
_cell_angle_alpha 90.00
_cell_angle_beta 109.29
_cell_angle_gamma 90.00
loop_
_symmetry_equiv_pos_as_xyz
'x,y,z'
'-x,-y,-z'
'-x,y,-z'
'x,-y,z'
'x+1/2,y+1/2,z'
'-x+1/2,-y+1/2,-z'
'-x+1/2,y+1/2,-z'
'x+1/2,-y+1/2,z'
loop_
_atom_site_label
_atom_site_type_symbol
_atom_site_fract_x
_atom_site_fract_y
_atom_site_fract_z
Nd1 Nd 0.2472 0.0000 0.2526
Nd2 Nd 0.2470 0.1649 0.7473
Te1 Te 0.0000 0.1675 0.0000
Te2 Te 0.0000 0.3334 0.5000
Te3 Te 0.0000 0.5000 0.0000
Pb1 Pb 0.0000 0.0000 0.5000
```